# 1
This entry pairs a crystal structure of H4Pd2RhPb with its computed XRD peak list. Radiation: λ = 1.5418 Å (Cu Kα). Structure: the PBE geometry in Alexandria.
Intensities are scaled so that the largest is 100.

Atomic structure:
```
H4Pd2RhPb
1.0
-2.234 2.234 4.354
2.234 -2.234 4.354
2.234 2.234 -4.354
H Pd Rh Pb
4 2 1 1
Direct
0.176 0.176 0.677
0.500 0.500 0.323
0.500 0.824 0.000
0.824 0.500 0.000
0.250 0.750 0.500
0.750 0.250 0.500
0.500 0.500 0.000
0.000 0.000 0.000
```

Peak list (6 most intense, 2θ = 10–90°, sorted by position)
| 2theta | I (rel.) |
| --- | --- |
| 35.1 | 100 |
| 40.4 | 34 |
| 41.5 | 16 |
| 59.3 | 22 |
| 70.0 | 27 |
| 71.5 | 13 |

# 2
This entry pairs a crystal structure of Ce2GaSi3 with its computed XRD peak list. Radiation: λ = 1.5418 Å (Cu Kα). Structure: the PBE geometry in Alexandria.
Intensities are scaled so that the largest is 100.

Atomic structure:
```
Ce2GaSi3
1.0
4.117 0.000 0.000
0.000 4.159 0.000
0.000 0.000 7.106
Ce Ga Si
2 1 3
Direct
0.000 0.000 0.000
0.500 0.000 0.483
0.000 0.500 0.658
0.000 0.500 0.321
0.500 0.500 0.161
0.500 0.500 0.832
```

Peak list (6 most intense, 2θ = 10–90°, sorted by position)
| 2theta | I (rel.) |
| --- | --- |
| 25.0 | 32 |
| 33.1 | 100 |
| 44.0 | 12 |
| 44.1 | 22 |
| 56.2 | 14 |
| 63.7 | 22 |